Diffraction record for Na2NbBiO6. The X-ray powder pattern is simulated, not measured: it uses the GGA-PBE geometry in the Materials Project and Cu Kα X-rays.
Kinematic intensities with the Lorentz-polarization factor, no thermal factor.

```
data_Na2NbBiO6
_chemical_formula_sum 'Na8 Nb4 Bi4 O24'
_symmetry_space_group_name_H-M 'F m -3 m'
_symmetry_Int_Tables_number 225
_symmetry_space_group_name_Hall '-F 4 2 3'
_cell_length_a 8.1942
_cell_length_b 8.1942
_cell_length_c 8.1942
_cell_angle_alpha 90.00
_cell_angle_beta 90.00
_cell_angle_gamma 90.00
loop_
_atom_site_label
_atom_site_fract_x
_atom_site_fract_y
_atom_site_fract_z
Na1 0.2500 0.2500 0.2500
Nb1 0.0000 0.0000 0.0000
Bi1 0.0000 0.0000 0.5000
O1 0.0000 0.0000 0.2435
```

Peak list (10 most intense, 5 to 70 degrees two-theta, by angle)
- hkl 1 1 1, 18.76°, I = 23
- hkl 2 0 0, 21.69°, I = 99
- hkl 2 2 0, 30.86°, I = 100
- hkl 3 1 1, 36.36°, I = 16
- hkl 2 2 2, 38.04°, I = 9
- hkl 4 0 0, 44.21°, I = 36
- hkl 4 2 0, 49.76°, I = 43
- hkl 4 2 2, 54.89°, I = 41
- hkl 4 4 0, 64.31°, I = 22
- hkl 6 0 0, 68.73°, I = 20